# 1
Structure and theoretical powder XRD pattern of Fe2I5 (the GGA-PBE geometry in Alexandria; Cu Kα X-rays).
Neutral-atom scattering factors, no anomalous dispersion.

Main lines, by angle (5 to 70 degrees two-theta):
2θ/deg, d_spacing, intensity
15.57, 5.693, 33
25.14, 3.543, 100
25.37, 3.511, 33
26.45, 3.370, 40
28.38, 3.145, 51
28.95, 3.084, 47
36.51, 2.461, 28
37.42, 2.403, 30
42.44, 2.130, 18
45.90, 1.977, 27

Cell and atoms:
```
data_Fe2I5
_symmetry_space_group_name_H-M 'C 1 2/c 1'
_symmetry_Int_Tables_number 15
_cell_length_a 17.569
_cell_length_b 8.329
_cell_length_c 7.862
_cell_angle_alpha 90.00
_cell_angle_beta 109.11
_cell_angle_gamma 90.00
loop_
_symmetry_equiv_pos_as_xyz
'x,y,z'
'-x,-y,-z'
'-x,y,-z+1/2'
'x,-y,z+1/2'
'x+1/2,y+1/2,z'
'-x+1/2,-y+1/2,-z'
'-x+1/2,y+1/2,-z+1/2'
'x+1/2,-y+1/2,z+1/2'
loop_
_atom_site_label
_atom_site_fract_x
_atom_site_fract_y
_atom_site_fract_z
Fe1 0.143 0.164 0.352
I1 0.000 0.337 0.250
I2 0.103 0.100 0.976
I3 0.200 0.377 0.625
```

---

# 2
Structure and theoretical powder XRD pattern of FeIrIN2 (the GGA-PBE geometry in Alexandria; Cu Kα X-rays).
Neutral-atom scattering factors, no anomalous dispersion.

Main lines, by angle (5 to 70 degrees two-theta):
2θ/deg, d_spacing, intensity
22.20, 4.004, 100
23.65, 3.762, 67
26.17, 3.405, 24
32.66, 2.742, 59
33.70, 2.660, 50
40.72, 2.216, 61
48.40, 1.881, 24
53.85, 1.702, 34
57.62, 1.600, 22
59.61, 1.551, 22

Cell and atoms:
```
data_FeIrIN2
_symmetry_space_group_name_H-M 'P 4/m m m'
_symmetry_Int_Tables_number 123
_symmetry_space_group_name_Hall '-P 4 2'
_cell_length_a 3.762
_cell_length_b 3.762
_cell_length_c 8.009
_cell_angle_alpha 90.00
_cell_angle_beta 90.00
_cell_angle_gamma 90.00
loop_
_atom_site_label
_atom_site_fract_x
_atom_site_fract_y
_atom_site_fract_z
Fe1 0.000 0.000 0.000
Ir1 0.500 0.500 0.500
I1 0.500 0.500 0.000
N1 0.000 0.500 0.500
```

---

# 3
Structure and theoretical powder XRD pattern of K6Fe3I14 (the GGA-PBE geometry in Alexandria; Cu Kα X-rays).
Neutral-atom scattering factors, no anomalous dispersion.

Main lines, by angle (5 to 70 degrees two-theta):
2θ/deg, d_spacing, intensity
13.94, 6.351, 28
21.37, 4.157, 30
24.72, 3.601, 100
26.03, 3.423, 54
27.29, 3.268, 64
31.86, 2.809, 24
34.92, 2.569, 26
42.71, 2.117, 24
43.53, 2.079, 29
45.41, 1.997, 27

Cell and atoms:
```
data_K6Fe3I14
_symmetry_space_group_name_H-M 'P 3'
_symmetry_Int_Tables_number 143
_cell_length_a 12.7013
_cell_length_b 12.7013
_cell_length_c 7.2038
_cell_angle_alpha 90.00
_cell_angle_beta 90.00
_cell_angle_gamma 120.00
loop_
_symmetry_equiv_pos_as_xyz
'x,y,z'
'-y,x-y,z'
'-x+y,-x,z'
loop_
_atom_site_label
_atom_site_fract_x
_atom_site_fract_y
_atom_site_fract_z
K1 0.0297 0.4658 0.0000
K2 0.3097 0.2012 0.4974
Fe1 0.0000 0.0000 0.0881
Fe2 0.3333 0.6667 0.5857
Fe3 0.6667 0.3333 0.2096
I1 0.0000 0.0000 0.7293
I2 0.0833 0.2188 0.2111
I3 0.1935 0.7456 0.7089
I4 0.3333 0.6667 0.2274
I5 0.4540 0.2566 0.9925
I6 0.5330 0.1218 0.4377
```

---

# 4
Structure and theoretical powder XRD pattern of KFe4I12 (the GGA-PBE geometry in Alexandria; Cu Kα X-rays).
Neutral-atom scattering factors, no anomalous dispersion.

Main lines, by angle (5 to 70 degrees two-theta):
2θ/deg, d_spacing, intensity
16.23, 5.460, 87
25.91, 3.439, 100
26.76, 3.331, 55
28.71, 3.110, 82
30.73, 2.910, 44
31.46, 2.844, 100
32.81, 2.730, 81
37.12, 2.422, 51
52.14, 1.754, 56
53.07, 1.726, 40

Cell and atoms:
```
data_KFe4I12
_symmetry_space_group_name_H-M 'I m m m'
_symmetry_Int_Tables_number 71
_symmetry_space_group_name_Hall '-I 2 2'
_cell_length_a 10.493
_cell_length_b 10.918
_cell_length_c 10.921
_cell_angle_alpha 90.00
_cell_angle_beta 90.00
_cell_angle_gamma 90.00
loop_
_atom_site_label
_atom_site_fract_x
_atom_site_fract_y
_atom_site_fract_z
K1 0.000 0.000 0.000
Fe1 0.250 0.250 0.250
I1 0.000 0.310 0.311
I2 0.187 0.265 0.000
I3 0.188 0.000 0.262
```

---

# 5
Structure and theoretical powder XRD pattern of KFe3I12 (the GGA-PBE geometry in Alexandria; Cu Kα X-rays).
Neutral-atom scattering factors, no anomalous dispersion.

Main lines, by angle (5 to 70 degrees two-theta):
2θ/deg, d_spacing, intensity
14.10, 6.282, 78
20.54, 4.324, 21
24.54, 3.627, 34
25.00, 3.562, 100
28.42, 3.141, 53
28.81, 3.098, 43
29.70, 3.008, 20
40.91, 2.206, 18
43.83, 2.066, 27
52.53, 1.742, 17

Cell and atoms:
```
data_KFe3I12
_symmetry_space_group_name_H-M 'R 3 c'
_symmetry_Int_Tables_number 161
_symmetry_space_group_name_Hall 'R 3 -2"c'
_cell_length_a 12.5638
_cell_length_b 12.5638
_cell_length_c 37.6970
_cell_angle_alpha 90.00
_cell_angle_beta 90.00
_cell_angle_gamma 120.00
loop_
_atom_site_label
_atom_site_fract_x
_atom_site_fract_y
_atom_site_fract_z
K1 0.0000 0.0000 0.0000
Fe1 0.0112 0.3591 0.2867
I1 0.0102 0.4672 0.3428
I2 0.0372 0.5000 0.4666
I3 0.0489 0.5127 0.1076
I4 0.0692 0.4960 0.2327
```

---

# 6
Structure and theoretical powder XRD pattern of KFe2I7 (the GGA-PBE geometry in Alexandria; Cu Kα X-rays).
Neutral-atom scattering factors, no anomalous dispersion.

Main lines, by angle (5 to 70 degrees two-theta):
2θ/deg, d_spacing, intensity
14.60, 6.068, 38
20.42, 4.350, 45
22.30, 3.987, 48
22.66, 3.924, 57
25.20, 3.535, 79
26.89, 3.315, 100
27.20, 3.279, 87
34.20, 2.622, 40
40.42, 2.232, 52
43.11, 2.098, 42

Cell and atoms:
```
data_KFe2I7
_symmetry_space_group_name_H-M 'P 1 2/m 1'
_symmetry_Int_Tables_number 10
_cell_length_a 10.426
_cell_length_b 4.350
_cell_length_c 10.577
_cell_angle_alpha 90.00
_cell_angle_beta 109.40
_cell_angle_gamma 90.00
loop_
_symmetry_equiv_pos_as_xyz
'x,y,z'
'-x,-y,-z'
'-x,y,-z'
'x,-y,z'
loop_
_atom_site_label
_atom_site_fract_x
_atom_site_fract_y
_atom_site_fract_z
K1 0.000 0.000 0.000
Fe1 0.205 0.500 0.366
I1 0.051 0.500 0.744
I2 0.292 0.000 0.513
I3 0.303 0.500 0.173
I4 0.500 0.500 0.000
```

---

# 7
Structure and theoretical powder XRD pattern of Li3Fe2I8 (the GGA-PBE geometry in Alexandria; Cu Kα X-rays).
Neutral-atom scattering factors, no anomalous dispersion.

Main lines, by angle (5 to 70 degrees two-theta):
2θ/deg, d_spacing, intensity
25.33, 3.516, 100
25.81, 3.451, 98
29.61, 3.017, 84
41.76, 2.163, 18
42.37, 2.133, 66
43.00, 2.103, 16
49.75, 1.833, 32
49.99, 1.824, 16
50.56, 1.805, 29
69.69, 1.349, 19

Cell and atoms:
```
data_Li3Fe2I8
_symmetry_space_group_name_H-M 'C m c e'
_symmetry_Int_Tables_number 64
_symmetry_space_group_name_Hall '-C 2ac 2'
_cell_length_a 8.652
_cell_length_b 16.828
_cell_length_c 12.073
_cell_angle_alpha 90.00
_cell_angle_beta 90.00
_cell_angle_gamma 90.00
loop_
_atom_site_label
_atom_site_fract_x
_atom_site_fract_y
_atom_site_fract_z
Li1 0.000 0.000 0.000
Li2 0.250 0.134 0.250
Fe1 0.000 0.122 0.620
I1 0.000 0.004 0.248
I2 0.000 0.248 0.745
I3 0.247 0.125 0.500
```

---

# 8
Structure and theoretical powder XRD pattern of NaLiFeI4 (the GGA-PBE geometry in Alexandria; Cu Kα X-rays).
Neutral-atom scattering factors, no anomalous dispersion.

Main lines, by angle (5 to 70 degrees two-theta):
2θ/deg, d_spacing, intensity
14.65, 6.047, 19
23.37, 3.807, 100
25.31, 3.519, 24
29.36, 3.042, 10
30.25, 2.955, 9
36.09, 2.488, 18
39.84, 2.263, 30
43.45, 2.083, 27
47.19, 1.926, 9
49.78, 1.832, 12

Cell and atoms:
```
data_NaLiFeI4
_symmetry_space_group_name_H-M 'I -4'
_symmetry_Int_Tables_number 82
_cell_length_a 7.038
_cell_length_b 7.038
_cell_length_c 11.819
_cell_angle_alpha 90.00
_cell_angle_beta 90.00
_cell_angle_gamma 90.00
loop_
_symmetry_equiv_pos_as_xyz
'x,y,z'
'y,-x,-z'
'-x,-y,z'
'-y,x,-z'
'x+1/2,y+1/2,z+1/2'
'y+1/2,-x+1/2,-z+1/2'
'-x+1/2,-y+1/2,z+1/2'
'-y+1/2,x+1/2,-z+1/2'
loop_
_atom_site_label
_atom_site_fract_x
_atom_site_fract_y
_atom_site_fract_z
Na1 0.000 0.000 0.000
Li1 0.000 0.000 0.500
Fe1 0.000 0.500 0.750
I1 0.205 0.257 0.632
```

---

# 9
Structure and theoretical powder XRD pattern of MgFe2I6 (the GGA-PBE geometry in Alexandria; Cu Kα X-rays).
Neutral-atom scattering factors, no anomalous dispersion.

Main lines, by angle (5 to 70 degrees two-theta):
2θ/deg, d_spacing, intensity
8.20, 10.779, 29
12.19, 7.261, 20
18.85, 4.707, 21
22.79, 3.903, 100
24.52, 3.630, 40
25.58, 3.482, 43
25.67, 3.470, 49
33.43, 2.680, 16
39.58, 2.277, 24
40.35, 2.235, 22

Cell and atoms:
```
data_MgFe2I6
_symmetry_space_group_name_H-M 'C 1 2/c 1'
_symmetry_Int_Tables_number 15
_cell_length_a 15.029
_cell_length_b 16.085
_cell_length_c 7.144
_cell_angle_alpha 90.00
_cell_angle_beta 104.92
_cell_angle_gamma 90.00
loop_
_symmetry_equiv_pos_as_xyz
'x,y,z'
'-x,-y,-z'
'-x,y,-z+1/2'
'x,-y,z+1/2'
'x+1/2,y+1/2,z'
'-x+1/2,-y+1/2,-z'
'-x+1/2,y+1/2,-z+1/2'
'x+1/2,-y+1/2,z+1/2'
loop_
_atom_site_label
_atom_site_fract_x
_atom_site_fract_y
_atom_site_fract_z
Mg1 0.000 0.001 0.250
Fe1 0.053 0.423 0.419
I1 0.106 0.090 0.056
I2 0.115 0.289 0.571
I3 0.127 0.439 0.113
```

---

# 10
Structure and theoretical powder XRD pattern of MgFeI4 (the GGA-PBE geometry in Alexandria; Cu Kα X-rays).
Neutral-atom scattering factors, no anomalous dispersion.

Main lines, by angle (5 to 70 degrees two-theta):
2θ/deg, d_spacing, intensity
22.20, 4.004, 31
24.00, 3.708, 78
25.28, 3.523, 100
26.88, 3.317, 22
37.82, 2.379, 18
41.15, 2.194, 37
43.00, 2.103, 29
45.29, 2.002, 26
48.15, 1.890, 15
48.27, 1.886, 16

Cell and atoms:
```
data_MgFeI4
_symmetry_space_group_name_H-M 'C 2 2 21'
_symmetry_Int_Tables_number 20
_cell_length_a 10.473
_cell_length_b 10.504
_cell_length_c 9.514
_cell_angle_alpha 90.00
_cell_angle_beta 90.00
_cell_angle_gamma 90.00
loop_
_symmetry_equiv_pos_as_xyz
'x,y,z'
'-x,-y,z+1/2'
'x,-y,-z'
'-x,y,-z+1/2'
'x+1/2,y+1/2,z'
'-x+1/2,-y+1/2,z+1/2'
'x+1/2,-y+1/2,-z'
'-x+1/2,y+1/2,-z+1/2'
loop_
_atom_site_label
_atom_site_fract_x
_atom_site_fract_y
_atom_site_fract_z
Mg1 0.000 0.168 0.250
Fe1 0.162 0.500 0.500
I1 0.010 0.299 0.501
I2 0.207 0.001 0.235
```

---

# 11
Structure and theoretical powder XRD pattern of MnFeI6 (the GGA-PBE geometry in Alexandria; Cu Kα X-rays).
Neutral-atom scattering factors, no anomalous dispersion.

Main lines, by angle (5 to 70 degrees two-theta):
2θ/deg, d_spacing, intensity
17.29, 5.130, 13
25.11, 3.547, 11
28.72, 3.108, 17
28.98, 3.081, 100
38.51, 2.338, 27
44.23, 2.048, 26
51.05, 1.789, 20
53.59, 1.710, 16
53.75, 1.705, 16
69.81, 1.347, 7

Cell and atoms:
```
data_MnFeI6
_symmetry_space_group_name_H-M 'R -3'
_symmetry_Int_Tables_number 148
_symmetry_space_group_name_Hall '-R 3'
_cell_length_a 7.0939
_cell_length_b 7.0939
_cell_length_c 18.6481
_cell_angle_alpha 90.00
_cell_angle_beta 90.00
_cell_angle_gamma 120.00
loop_
_atom_site_label
_atom_site_fract_x
_atom_site_fract_y
_atom_site_fract_z
Mn1 0.0000 0.0000 0.0000
Fe1 0.0000 0.0000 0.5000
I1 0.0013 0.6472 0.2495
```

---

# 12
Structure and theoretical powder XRD pattern of RbMnFe2I8 (the GGA-PBE geometry in Alexandria; Cu Kα X-rays).
Neutral-atom scattering factors, no anomalous dispersion.

Main lines, by angle (5 to 70 degrees two-theta):
2θ/deg, d_spacing, intensity
8.38, 10.546, 34
15.04, 5.890, 35
23.80, 3.739, 59
26.27, 3.392, 93
27.07, 3.294, 55
27.48, 3.246, 100
27.85, 3.204, 51
29.89, 2.989, 32
42.59, 2.123, 62
43.30, 2.089, 43

Cell and atoms:
```
data_RbMnFe2I8
_symmetry_space_group_name_H-M 'C 1 2/m 1'
_symmetry_Int_Tables_number 12
_cell_length_a 12.043
_cell_length_b 8.239
_cell_length_c 10.622
_cell_angle_alpha 90.00
_cell_angle_beta 96.86
_cell_angle_gamma 90.00
loop_
_symmetry_equiv_pos_as_xyz
'x,y,z'
'-x,-y,-z'
'-x,y,-z'
'x,-y,z'
'x+1/2,y+1/2,z'
'-x+1/2,-y+1/2,-z'
'-x+1/2,y+1/2,-z'
'x+1/2,-y+1/2,z'
loop_
_atom_site_label
_atom_site_fract_x
_atom_site_fract_y
_atom_site_fract_z
Rb1 0.000 0.000 0.000
Mn1 0.000 0.000 0.500
Fe1 0.117 0.500 0.291
I1 0.017 0.247 0.702
I2 0.191 0.500 0.077
I3 0.241 0.000 0.506
```

---

Q: Which formula does entry 7 have?
A: Li3Fe2I8